Entry 1:
For Tb4Ni3Bi8, a DFT-relaxed cell (GGA-PBE, the Materials Project) gives the calculated powder XRD pattern in this record (Cu Kα (weighted mean of Kα1 and Kα2)).

Main lines, low angle first (5° ≤ 2θ ≤ 70°):
two_theta	I/Imax
28.6	314
29.4	651
33.9	1000
39.7	602
49.7	288
68.3	268

Structural model:
Cell lengths 4.541, 4.541, 18.714 Å; angles 90.00, 90.00, 90.00 degrees
Space group P-4m2 (No. 115)
Asymmetric unit:
Tb  0.000  0.500  0.113 [2 per cell]
Tb  0.000  0.500  0.613 [2 per cell]
Ni  0.000  0.000  0.000 [1 per cell]
Ni  0.000  0.000  0.500 [1 per cell]
Ni  0.500  0.500  0.000 [1 per cell]
Bi  0.000  0.000  0.251 [2 per cell]
Bi  0.000  0.500  0.431 [2 per cell]
Bi  0.000  0.500  0.925 [2 per cell]
Bi  0.500  0.500  0.251 [2 per cell]

---

Entry 2:
For ZrAl2, a DFT-relaxed cell (GGA-PBE, the Materials Project) gives the calculated powder XRD pattern in this record (Cu Kα (weighted mean of Kα1 and Kα2)).

Main lines, low angle first (5° ≤ 2θ ≤ 70°):
two_theta	I/Imax
33.9	689
36.4	1000
39.8	846
40.7	418
62.3	381
67.1	279

Structural model:
Cell lengths 5.2930, 5.2930, 8.7920 Å; angles 90.00, 90.00, 120.00 degrees
Space group P6_3/mmc (No. 194)
Asymmetric unit:
Zr  0.3333  0.6667  0.0639 [4 per cell]
Al  0.0000  0.0000  0.0000 [2 per cell]
Al  0.1706  0.3412  0.7500 [6 per cell]

---

Entry 3:
For SiO2, a DFT-relaxed cell (GGA-PBE, the Materials Project) gives the calculated powder XRD pattern in this record (Cu Kα (weighted mean of Kα1 and Kα2)).

Main lines, low angle first (5° ≤ 2θ ≤ 70°):
two_theta	I/Imax
12.6	1000
17.8	455
21.8	91
28.3	505
38.3	84
46.5	86

Structural model:
Cell lengths 9.966, 9.966, 9.966 Å; angles 90.00, 90.00, 90.00 degrees
Space group Im-3m (No. 229)
Asymmetric unit:
Si  0.157  0.157  0.157 [16 per cell]
O  0.000  0.189  0.189 [24 per cell]
O  0.250  0.250  0.250 [8 per cell]

---

Entry 4:
For La2CdPd2, a DFT-relaxed cell (GGA-PBE, the Materials Project) gives the calculated powder XRD pattern in this record (Cu Kα (weighted mean of Kα1 and Kα2)).

Main lines, low angle first (5° ≤ 2θ ≤ 70°):
two_theta	I/Imax
31.9	520
33.8	1000
35.8	412
45.6	165
59.3	185
67.8	152

Structural model:
Cell lengths 7.935, 7.935, 3.980 Å; angles 90.00, 90.00, 90.00 degrees
Space group P4/mbm (No. 127)
Asymmetric unit:
La  0.179  0.321  0.000 [4 per cell]
Cd  0.000  0.000  0.500 [2 per cell]
Pd  0.126  0.626  0.500 [4 per cell]

---

Entry 5:
For LuI3O10, a DFT-relaxed cell (GGA-PBE, the Materials Project) gives the calculated powder XRD pattern in this record (Cu Kα (weighted mean of Kα1 and Kα2)).

Main lines, low angle first (5° ≤ 2θ ≤ 70°):
two_theta	I/Imax
12.9	363
20.4	391
22.8	1000
28.2	825
30.9	233
44.6	230

Structural model:
Cell lengths 27.933, 5.694, 11.989 Å; angles 90.00, 99.43, 90.00 degrees
Space group C2/c (No. 15)
Asymmetric unit:
Lu  0.086  0.206  0.429 [8 per cell]
I  0.091  0.299  0.735 [8 per cell]
I  0.167  0.260  0.059 [8 per cell]
I  0.214  0.193  0.347 [8 per cell]
O  0.000  0.195  0.093 [8 per cell]
O  0.058  0.072  0.801 [8 per cell]
O  0.059  0.316  0.588 [8 per cell]
O  0.062  0.440  0.283 [8 per cell]
O  0.115  0.059  0.063 [8 per cell]
O  0.136  0.474  0.953 [8 per cell]
O  0.157  0.064  0.379 [8 per cell]
O  0.160  0.431  0.186 [8 per cell]
O  0.218  0.019  0.219 [8 per cell]
O  0.244  0.483  0.551 [8 per cell]

---

Entry 6:
For CdN, a DFT-relaxed cell (GGA-PBE, the Materials Project) gives the calculated powder XRD pattern in this record (Cu Kα (weighted mean of Kα1 and Kα2)).

Main lines, low angle first (5° ≤ 2θ ≤ 70°):
two_theta	I/Imax
32.6	1000
37.8	801
54.5	514
64.9	407
68.2	166

Structural model:
Cell lengths 4.763, 4.763, 4.763 Å; angles 90.00, 90.00, 90.00 degrees
Space group Fm-3m (No. 225)
Asymmetric unit:
Cd  0.000  0.000  0.000 [4 per cell]
N  0.000  0.000  0.500 [4 per cell]

---

Entry 7:
For SrSnAu, a DFT-relaxed cell (GGA-PBE, the Materials Project) gives the calculated powder XRD pattern in this record (Cu Kα (weighted mean of Kα1 and Kα2)).

Main lines, low angle first (5° ≤ 2θ ≤ 70°):
two_theta	I/Imax
22.5	353
30.9	1000
31.0	422
35.7	344
36.7	534
37.0	922

Structural model:
Cell lengths 23.749, 4.897, 8.400 Å; angles 90.00, 90.00, 90.00 degrees
Space group Pnma (No. 62)
Asymmetric unit:
Sr  0.002  0.250  0.212 [4 per cell]
Sr  0.166  0.250  0.291 [4 per cell]
Sr  0.167  0.750  0.707 [4 per cell]
Sn  0.066  0.250  0.586 [4 per cell]
Sn  0.102  0.750  0.084 [4 per cell]
Sn  0.231  0.750  0.082 [4 per cell]
Au  0.067  0.750  0.416 [4 per cell]
Au  0.094  0.250  0.913 [4 per cell]
Au  0.239  0.250  0.913 [4 per cell]

---

Entry 8:
For SbSI, a DFT-relaxed cell (GGA-PBE, the Materials Project) gives the calculated powder XRD pattern in this record (Cu Kα (weighted mean of Kα1 and Kα2)).

Main lines, low angle first (5° ≤ 2θ ≤ 70°):
two_theta	I/Imax
19.2	195
19.7	340
29.1	1000
33.1	197
34.1	192
46.7	227

Structural model:
Cell lengths 9.020, 4.111, 10.787 Å; angles 90.00, 90.00, 90.00 degrees
Space group Pnma (No. 62)
Asymmetric unit:
Sb  0.102  0.250  0.125 [4 per cell]
S  0.153  0.750  0.964 [4 per cell]
I  0.024  0.250  0.684 [4 per cell]

---

Entry 9:
For SmAl3Cu, a DFT-relaxed cell (GGA-PBE, the Materials Project) gives the calculated powder XRD pattern in this record (Cu Kα (weighted mean of Kα1 and Kα2)).

Main lines, low angle first (5° ≤ 2θ ≤ 70°):
two_theta	I/Imax
22.8	434
30.2	546
33.1	1000
34.7	955
43.2	496
55.5	450

Structural model:
Cell lengths 4.187, 4.187, 10.617 Å; angles 90.00, 90.00, 90.00 degrees
Space group I4mm (No. 107)
Asymmetric unit:
Sm  0.000  0.000  0.000 [2 per cell]
Al  0.000  0.000  0.407 [2 per cell]
Al  0.000  0.500  0.248 [4 per cell]
Cu  0.000  0.000  0.628 [2 per cell]

---

Entry 10:
For AlHO2, a DFT-relaxed cell (GGA-PBE, the Materials Project) gives the calculated powder XRD pattern in this record (Cu Kα (weighted mean of Kα1 and Kα2)).

Main lines, low angle first (5° ≤ 2θ ≤ 70°):
two_theta	I/Imax
20.9	1000
27.7	479
37.7	649
42.1	765
42.5	480
66.6	408

Structural model:
Cell lengths 8.506, 2.887, 4.915 Å; angles 90.00, 90.00, 90.00 degrees
Space group Pnma (No. 62)
Asymmetric unit:
Al  0.149  0.250  0.104 [4 per cell]
H  0.069  0.250  0.629 [4 per cell]
O  0.002  0.750  0.208 [4 per cell]
O  0.240  0.250  0.450 [4 per cell]

---

Entry 11:
For SmCuO3, a DFT-relaxed cell (GGA-PBE, the Materials Project) gives the calculated powder XRD pattern in this record (Cu Kα (weighted mean of Kα1 and Kα2)).

Main lines, low angle first (5° ≤ 2θ ≤ 70°):
two_theta	I/Imax
23.4	114
33.3	1000
41.0	150
47.8	306
59.4	380
69.8	179

Structural model:
Cell lengths 3.809, 3.809, 3.809 Å; angles 90.00, 90.00, 90.00 degrees
Space group Pm-3m (No. 221)
Asymmetric unit:
Sm  0.000  0.000  0.000 [1 per cell]
Cu  0.500  0.500  0.500 [1 per cell]
O  0.000  0.500  0.500 [3 per cell]

---

Entry 12:
For CrSi2, a DFT-relaxed cell (GGA-PBE, the Materials Project) gives the calculated powder XRD pattern in this record (Cu Kα (weighted mean of Kα1 and Kα2)).

Main lines, low angle first (5° ≤ 2θ ≤ 70°):
two_theta	I/Imax
23.6	103
31.3	154
41.4	725
46.6	1000
48.2	61
60.0	225

Structural model:
Cell lengths 3.083, 3.083, 7.536 Å; angles 90.00, 90.00, 90.00 degrees
Space group I4/mmm (No. 139)
Asymmetric unit:
Cr  0.000  0.000  0.000 [2 per cell]
Si  0.000  0.000  0.337 [4 per cell]